Record 1
For TiFe6Ge6, a crystal structure in Alexandria, relaxed with PBE gives the calculated X-ray diffraction stick pattern in this record (Cu Kα (weighted mean of Kα1 and Kα2)).

```
data_TiFe6Ge6
_cell_length_a 5.0161
_cell_length_b 5.0161
_cell_length_c 8.0097
_cell_angle_alpha 90.00
_cell_angle_beta 90.00
_cell_angle_gamma 120.00
_space_group_name_H-M_alt 'P 6/m m m'
_space_group_IT_number 191
_space_group_name_Hall '-P 6 2'
loop_
_atom_site_label
_atom_site_type_symbol
_atom_site_fract_x
_atom_site_fract_y
_atom_site_fract_z
Ti1 Ti 0.0000 0.0000 0.0000
Fe1 Fe 0.0000 0.5000 0.2485
Ge1 Ge 0.0000 0.0000 0.3373
Ge2 Ge 0.3333 0.6667 0.0000
Ge3 Ge 0.3333 0.6667 0.5000
```

Main lines, in order of rising 2θ (2θ from 15° to 90°):
2theta	d/Å	intensity	h k l
35.8	2.508	60.9	1 1 0
39.6	2.275	25.4	1 0 3
41.6	2.172	43.5	2 0 0
42.5	2.126	80.7	1 1 2
45.3	2.002	26.4	0 0 4
47.6	1.909	100.0	2 0 2
49.9	1.828	12.7	1 1 3
50.2	1.819	30.0	1 0 4
69.0	1.362	17.8	3 0 2
74.8	1.270	17.5	2 1 4
75.9	1.254	30.6	2 2 0
81.7	1.178	26.8	1 1 6

***

Record 2
For Dy7AuI12, a crystal structure in Alexandria, relaxed with PBE gives the calculated X-ray diffraction stick pattern in this record (Cu Kα (weighted mean of Kα1 and Kα2)).

```
data_Dy7AuI12
_cell_length_a 15.7541
_cell_length_b 15.7541
_cell_length_c 10.5307
_cell_angle_alpha 90.00
_cell_angle_beta 90.00
_cell_angle_gamma 120.00
_space_group_name_H-M_alt 'R -3'
_space_group_IT_number 148
_space_group_name_Hall '-R 3'
loop_
_atom_site_label
_atom_site_type_symbol
_atom_site_fract_x
_atom_site_fract_y
_atom_site_fract_z
Dy1 Dy 0.0000 0.0000 0.0000
Dy2 Dy 0.0452 0.8844 0.3450
Au1 Au 0.0000 0.0000 0.5000
I1 I 0.0217 0.4365 0.1611
I2 I 0.0521 0.8674 0.8420
```

Main lines, in order of rising 2θ (2θ from 15° to 90°):
2theta	d/Å	intensity	h k l
25.0	3.561	9.8	1 3 1
27.8	3.206	5.4	2 -1 3
29.1	3.073	100.0	4 -1 2
41.3	2.185	35.7	5 2 0
41.8	2.161	36.9	1 3 4
51.3	1.781	18.1	2 6 2
52.1	1.755	6.0	0 0 6
60.2	1.536	11.3	8 -2 4
67.9	1.380	14.2	9 1 2
68.6	1.368	14.4	5 2 6
75.7	1.257	10.1	6 5 4
76.6	1.243	5.2	4 -1 8

***

Record 3
For Cd2GaAgSe2S2, a crystal structure in Alexandria, relaxed with PBE gives the calculated X-ray diffraction stick pattern in this record (Cu Kα (weighted mean of Kα1 and Kα2)).

```
data_Cd2GaAgSe2S2
_cell_length_a 6.8876
_cell_length_b 4.1407
_cell_length_c 7.3581
_cell_angle_alpha 90.00
_cell_angle_beta 90.88
_cell_angle_gamma 90.00
_space_group_name_H-M_alt 'P 1 m 1'
_space_group_IT_number 6
loop_
_space_group_symop_operation_xyz
'x,y,z'
'x,-y,z'
loop_
_atom_site_label
_atom_site_type_symbol
_atom_site_fract_x
_atom_site_fract_y
_atom_site_fract_z
Cd1 Cd 0.0000 0.0000 0.0000
Cd2 Cd 0.4660 0.0000 0.3380
Ga1 Ga 0.4916 0.5000 0.8315
Ag1 Ag 0.0045 0.5000 0.4770
Se1 Se 0.1403 0.5000 0.8166
Se2 Se 0.6232 0.5000 0.5253
S1 S 0.1063 0.0000 0.3211
S2 S 0.6079 0.0000 0.9855
```

Main lines, in order of rising 2θ (2θ from 15° to 90°):
2theta	d/Å	intensity	h k l
24.2	3.679	48.9	0 0 2
24.7	3.608	100.0	0 1 1
25.9	3.443	82.5	2 0 0
27.7	3.224	30.3	1 0 2
27.8	3.206	62.1	1 1 -1
28.0	3.186	46.4	1 1 1
42.9	2.110	80.3	0 1 3
43.7	2.070	40.8	0 2 0
46.7	1.944	47.5	3 1 -1
47.0	1.934	25.4	3 0 2
47.1	1.930	35.7	3 1 1
51.5	1.774	24.3	2 2 0

***

What did the third record say?
For Cd2GaAgSe2S2, a crystal structure in Alexandria, relaxed with PBE gives the calculated X-ray diffraction stick pattern in this record (Cu Kα (weighted mean of Kα1 and Kα2)).

```
data_Cd2GaAgSe2S2
_cell_length_a 6.8876
_cell_length_b 4.1407
_cell_length_c 7.3581
_cell_angle_alpha 90.00
_cell_angle_beta 90.88
_cell_angle_gamma 90.00
_space_group_name_H-M_alt 'P 1 m 1'
_space_group_IT_number 6
loop_
_space_group_symop_operation_xyz
'x,y,z'
'x,-y,z'
loop_
_atom_site_label
_atom_site_type_symbol
_atom_site_fract_x
_atom_site_fract_y
_atom_site_fract_z
Cd1 Cd 0.0000 0.0000 0.0000
Cd2 Cd 0.4660 0.0000 0.3380
Ga1 Ga 0.4916 0.5000 0.8315
Ag1 Ag 0.0045 0.5000 0.4770
Se1 Se 0.1403 0.5000 0.8166
Se2 Se 0.6232 0.5000 0.5253
S1 S 0.1063 0.0000 0.3211
S2 S 0.6079 0.0000 0.9855
```

Main lines, in order of rising 2θ (2θ from 15° to 90°):
2theta	d/Å	intensity	h k l
24.2	3.679	48.9	0 0 2
24.7	3.608	100.0	0 1 1
25.9	3.443	82.5	2 0 0
27.7	3.224	30.3	1 0 2
27.8	3.206	62.1	1 1 -1
28.0	3.186	46.4	1 1 1
42.9	2.110	80.3	0 1 3
43.7	2.070	40.8	0 2 0
46.7	1.944	47.5	3 1 -1
47.0	1.934	25.4	3 0 2
47.1	1.930	35.7	3 1 1
51.5	1.774	24.3	2 2 0